For La, a DFT-relaxed cell (PBE, the Materials Project) gives the theoretical X-ray powder pattern in this record (Cu Ka).
Lines closer than 0.1° are merged.

Top 8 peaks for 2θ = 10–90°, low angle first:
- (1 1 1), 2θ 29.2, I = 100
- (2 0 0), 2θ 33.9, I = 51
- (2 2 0), 2θ 48.7, I = 37
- (3 1 1), 2θ 57.8, I = 44
- (2 2 2), 2θ 60.6, I = 13
- (4 0 0), 2θ 71.3, I = 6
- (3 3 1), 2θ 78.9, I = 18
- (4 2 0), 2θ 81.3, I = 16

Cell and atoms:
a b c (Å): 5.2910 5.2910 5.2910
angles (deg): 90.00 90.00 90.00
Space group Fm-3m (No. 225)
Unique sites:
La: 0.0000 0.0000 0.0000 x4